For DyZn3, the GGA-PBE geometry in Alexandria gives the calculated X-ray diffraction stick pattern in this record (Cu Kα).

Crystal structure
a = 4.2784 Å, b = 4.2784 Å, c = 4.2385 Å
α = 90.00°, β = 90.00°, γ = 90.00°
Positions (direct):
Dy 0.0000 0.0000 0.0000
Zn 0.0000 0.5000 0.5000
Zn 0.5000 0.0000 0.5000
Zn 0.5000 0.5000 0.0000

Main lines, sorted by position (5 to 70 degrees two-theta):
| hkl | Position (°2θ) | intensity |
| --- | --- | --- |
| 1 0 0 | 20.76 | 11 |
| 0 0 1 | 20.96 | 6 |
| 1 0 1 | 29.67 | 10 |
| 1 1 1 | 36.49 | 100 |
| 2 0 0 | 42.25 | 33 |
| 0 0 2 | 42.66 | 16 |
| 2 2 0 | 61.28 | 11 |
| 2 0 2 | 61.60 | 21 |